Na2WO12: calculated powder XRD pattern (Cu Ka), based on a DFT-relaxed cell (GGA+U, the Materials Project).

Most intense lines, 2θ from 5° to 70°, by intensity:
d (Å), I/Imax
5.195, 100
6.493, 78
5.425, 72
4.823, 39
5.295, 36
3.246, 31
4.390, 29
3.498, 28
3.379, 19
3.412, 17

Structural model:
```
data_Na2WO12
_chemical_formula_sum 'Na8 W4 O48'
_space_group_name_H-M_alt 'P 1'
_space_group_IT_number 1
_cell_length_a 9.649
_cell_length_b 8.779
_cell_length_c 12.893
_cell_angle_alpha 90.00
_cell_angle_beta 91.50
_cell_angle_gamma 90.00
loop_
_space_group_symop_operation_xyz
'x,y,z'
loop_
_atom_site_label
_atom_site_fract_x
_atom_site_fract_y
_atom_site_fract_z
Na1 0.083 0.115 0.227
Na2 0.083 0.385 0.727
Na3 0.376 0.115 0.488
Na4 0.376 0.385 0.988
Na5 0.624 0.615 0.012
Na6 0.624 0.885 0.512
Na7 0.917 0.615 0.273
Na8 0.917 0.885 0.773
W1 0.267 0.749 0.375
W2 0.267 0.751 0.875
W3 0.733 0.249 0.125
W4 0.733 0.251 0.625
O1 0.114 0.593 0.372
O2 0.114 0.907 0.872
O3 0.135 0.574 0.883
O4 0.135 0.926 0.383
O5 0.158 0.625 0.773
O6 0.158 0.875 0.273
O7 0.166 0.628 0.478
O8 0.166 0.872 0.978
O9 0.194 0.178 0.613
O10 0.194 0.322 0.113
O11 0.205 0.209 0.853
O12 0.205 0.291 0.353
O13 0.262 0.198 0.102
O14 0.262 0.302 0.602
O15 0.330 0.223 0.830
O16 0.330 0.277 0.330
O17 0.354 0.644 0.256
O18 0.354 0.856 0.756
O19 0.382 0.662 0.992
O20 0.382 0.838 0.492
O21 0.412 0.587 0.353
O22 0.412 0.913 0.853
O23 0.425 0.600 0.888
O24 0.425 0.900 0.388
O25 0.575 0.100 0.612
O26 0.575 0.400 0.112
O27 0.588 0.087 0.147
O28 0.588 0.413 0.647
O29 0.618 0.162 0.508
O30 0.618 0.338 0.008
O31 0.646 0.144 0.244
O32 0.646 0.356 0.744
O33 0.670 0.723 0.670
O34 0.670 0.777 0.170
O35 0.738 0.698 0.398
O36 0.738 0.802 0.898
O37 0.795 0.709 0.647
O38 0.795 0.791 0.147
O39 0.806 0.678 0.887
O40 0.806 0.822 0.387
O41 0.834 0.128 0.022
O42 0.834 0.372 0.522
O43 0.842 0.125 0.727
O44 0.842 0.375 0.227
O45 0.865 0.074 0.617
O46 0.865 0.426 0.117
O47 0.886 0.093 0.128
O48 0.886 0.407 0.628
```